The following is a theoretical XRD peak list of Ag4ClF4. It was derived from a PBE-relaxed structure, using λ = 1.5418 Å (Cu Kα).
Lines closer than 0.1° are merged.

Most intense lines, 10 to 80 degrees two-theta, in order of rising 2θ:
- 2θ 24.21, 3.677 Å, I = 19
- 2θ 26.39, 3.378 Å, I = 26
- 2θ 30.46, 2.935 Å, I = 53
- 2θ 30.76, 2.906 Å, I = 26
- 2θ 34.79, 2.579 Å, I = 100
- 2θ 37.08, 2.425 Å, I = 39
- 2θ 48.78, 1.867 Å, I = 18
- 2θ 49.44, 1.843 Å, I = 20
- 2θ 51.58, 1.772 Å, I = 30
- 2θ 51.92, 1.761 Å, I = 20

Structural model:
```
Ag4ClF4
1.0
5.949 -1.843 0.000
5.949 1.843 0.000
-4.575 0.000 7.353
Ag Cl F
4 1 4
Direct
0.097 0.097 0.355
0.285 0.285 0.193
0.715 0.715 0.807
0.903 0.903 0.645
0.500 0.500 0.500
0.123 0.123 0.898
0.288 0.288 0.684
0.712 0.712 0.316
0.877 0.877 0.102
```